Structure and theoretical powder XRD pattern of LiVPO4 (a cell relaxed with GGA+U; Cu Ka).

Structural model:
Unit cell a=5.672 b=6.532 c=9.397 alpha=72.70 beta=79.53 gamma=74.02
Positions (direct):
Li  0.163  0.130  0.141
Li  0.302  0.968  0.768
Li  0.698  0.032  0.232
Li  0.837  0.870  0.859
V  0.217  0.331  0.422
V  0.303  0.446  0.790
V  0.697  0.554  0.210
V  0.783  0.669  0.578
P  0.153  0.682  0.087
P  0.322  0.802  0.456
P  0.678  0.198  0.544
P  0.847  0.318  0.913
O  0.120  0.175  0.904
O  0.130  0.446  0.189
O  0.155  0.650  0.457
O  0.203  0.040  0.375
O  0.228  0.682  0.919
O  0.336  0.769  0.141
O  0.372  0.764  0.623
O  0.408  0.253  0.626
O  0.592  0.747  0.374
O  0.628  0.236  0.377
O  0.664  0.231  0.859
O  0.772  0.318  0.081
O  0.797  0.960  0.625
O  0.845  0.350  0.543
O  0.870  0.554  0.811
O  0.880  0.825  0.096

The 12 most intense peaks (2θ from 10° to 80°), low angle first:
index, 2θ/deg, intensity
0 1 0, 14.6, 100
0 1 2, 21.4, 60
1 1 -1, 24.2, 32
1 0 2, 24.4, 41
0 2 2, 31.0, 53
2 1 1, 32.1, 25
1 0 3, 32.7, 40
2 0 0, 33.1, 81
1 2 -1, 34.8, 45
2 0 -1, 35.7, 24
1 0 -3, 36.0, 21
1 2 5, 50.8, 23